# 1
CsNa2Pb: computed X-ray diffraction stick pattern (a wavelength of 1.5418 Å), based on a cell relaxed with PBE.

Atomic structure:
```
16
Lattice="9.7126 0.0000 0.0000 0.0000 7.3822 0.0000 -6.4742 0.0000 9.5825" Properties=species:S:1:pos:R:3 pbc="T T T"
Cs -1.3537 0.6502 3.6851
Cs -4.5908 3.0409 8.4764
Cs 7.8293 4.3413 1.1061
Cs 4.5922 6.7321 5.8974
Na 0.9954 4.8256 3.5477
Na -2.2417 6.2478 8.3390
Na 2.5767 1.4838 2.7317
Na -0.6604 2.2073 7.5229
Na 3.8989 5.1749 2.0596
Na 0.6618 5.8985 6.8508
Na 5.4801 1.1345 1.2435
Na 2.2430 2.5567 6.0348
Pb -1.8620 4.3278 5.4410
Pb 1.3751 6.7456 0.6497
Pb 1.8634 0.6366 8.9328
Pb 5.1005 3.0545 4.1415
```

Main lines, in order of rising 2θ (2θ = 15–90°):
2theta  d/Å  I_rel
15.37  5.765  80
22.11  4.020  51
26.01  3.426  71
26.48  3.366  100
26.90  3.315  50
27.55  3.238  52
30.19  2.960  59
30.57  2.925  76
30.98  2.887  64
33.36  2.686  45



# 2
Ce2Zn3Cu4: computed X-ray diffraction stick pattern (a wavelength of 1.5418 Å), based on a cell relaxed with PBE.

Atomic structure:
```
9
Lattice="0.0000 4.5621 6.6936 2.5410 0.0000 6.6936 2.5410 4.5621 0.0000" Properties=species:S:1:pos:R:3 pbc="T T T"
Ce 2.5410 4.5621 1.8792
Ce 2.5410 4.5621 11.5080
Zn 1.2705 2.2811 0.0000
Zn 1.2705 2.2811 6.6936
Zn 2.5410 4.5621 6.6936
Cu 2.5410 2.9630 4.4164
Cu 2.5410 2.9630 8.9707
Cu 2.5410 6.1613 4.4164
Cu 2.5410 6.1613 8.9707
```

Main lines, in order of rising 2θ (2θ = 15–90°):
2theta  d/Å  I_rel
28.36  3.147  26
33.20  2.699  16
35.03  2.562  23
35.32  2.541  24
39.30  2.293  16
40.02  2.253  100
40.43  2.231  29
40.64  2.220  15
44.78  2.024  21
66.57  1.405  21



# 3
SmSn2Ir: computed X-ray diffraction stick pattern (a wavelength of 1.5418 Å), based on a cell relaxed with PBE.

Atomic structure:
```
16
Lattice="-2.2842 4.8240 8.6516 2.2842 -4.8240 8.6516 2.2842 4.8240 -8.6516" Properties=species:S:1:pos:R:3 pbc="T T T"
Sm 0.0000 0.0000 3.5695
Sm 0.0000 2.2482 0.0000
Sm 0.0000 7.3998 0.0000
Sm 0.0000 0.0000 13.7338
Sn 2.2842 0.0000 1.3869
Sn 2.2842 -1.5349 5.1740
Sn 0.0000 0.0000 7.2160
Sn 2.2842 1.5349 5.1740
Sn 0.0000 3.2891 3.4776
Sn 0.0000 0.0000 10.0873
Sn 0.0000 6.3589 3.4776
Sn 0.0000 4.8240 7.2647
Ir 2.2842 2.3914 -2.5081
Ir 2.2842 2.3914 2.5081
Ir 0.0000 2.4326 6.1435
Ir 0.0000 2.4326 11.1597
```

Main lines, in order of rising 2θ (2θ = 15–90°):
2theta  d/Å  I_rel
31.10  2.876  100
32.46  2.759  98
35.68  2.516  34
36.29  2.475  49
37.28  2.412  29
39.45  2.284  61
45.33  2.001  29
54.68  1.679  31
63.41  1.467  27
65.70  1.421  20